Simulated X-ray diffraction stick pattern
Compound: LiInPtBr
Radiation: Cu Ka
Structure: a cell relaxed with PBE
Neutral-atom scattering factors, no anomalous dispersion.

Cell and atoms:
Cell lengths 3.6010, 3.7957, 6.8009 Å; angles 90.00, 105.23, 90.00 degrees
Element x y z (fractional)
1 Li 0.0000 0.0000 0.0000
2 In 0.2209 0.5000 0.4417
3 Pt 0.6779 0.0000 0.3552
4 Br 0.4421 0.5000 0.8840

Peak list (12 most intense, 2θ = 15–90°, by intensity)
2θ 35.02, rel. 1000, (1 1 0)
2θ 27.17, rel. 888, (0 0 2)
2θ 40.21, rel. 607, (1 1 1)
2θ 47.97, rel. 324, (0 2 0)
2θ 49.21, rel. 246, (1 1 2)
2θ 42.62, rel. 219, (1 0 -3)
2θ 25.65, rel. 209, (1 0 -1)
2θ 55.99, rel. 192, (0 2 2)
2θ 72.34, rel. 142, (2 2 -1)
2θ 58.43, rel. 141, (2 0 1)
2θ 50.70, rel. 135, (2 0 -1)
2θ 78.87, rel. 129, (2 2 1)